CeCo4Cu3O12: theoretical powder diffraction line list (Cu Kα), based on a PBE+U-relaxed structure.
Lines closer than 0.1° are merged.

Largest 10 diffraction maxima, by angle, 10° ≤ 2θ ≤ 90°:
| 2θ/deg | d (Å) | intensity |
| --- | --- | --- |
| 17.11 | 5.181 | 9 |
| 24.29 | 3.664 | 2 |
| 34.62 | 2.591 | 100 |
| 38.86 | 2.317 | 8 |
| 42.75 | 2.115 | 4 |
| 46.36 | 1.958 | 8 |
| 49.77 | 1.832 | 24 |
| 62.05 | 1.496 | 47 |
| 73.05 | 1.295 | 12 |
| 83.42 | 1.159 | 16 |

Cell and atoms:
a = 7.328 Å, b = 7.328 Å, c = 7.328 Å
α = 90.00°, β = 90.00°, γ = 90.00°
Space group Im-3 (No. 204)
Symmetry-distinct sites (fractional):
Ce 0.000 0.000 0.000 (multiplicity 2)
Co 0.250 0.250 0.250 (multiplicity 8)
Cu 0.000 0.000 0.500 (multiplicity 6)
O 0.000 0.169 0.305 (multiplicity 24)